The following is a computed X-ray diffraction stick pattern of PrAsRu. It was derived from the PBE geometry in Alexandria, using Cu Kα, 1.54184 Å.
Peak positions follow from Bragg's law for the DFT cell and can differ from measured ones.

Lattice parameters (Å, degrees): 4.2184 4.2184 7.1884 90.00 90.00 90.00
Atoms (fractional coordinates):
Pr  0.2500  0.2500  0.1834
Pr  0.7500  0.7500  0.8166
As  0.2500  0.2500  0.6958
As  0.7500  0.7500  0.3042
Ru  0.2500  0.7500  0.5000
Ru  0.7500  0.2500  0.5000

Peak list (10 most intense, 10° ≤ 2θ ≤ 90°, in order of rising 2θ)
2θ/deg, I/Imax
12.31, 34.5
29.96, 20.9
32.50, 45.9
32.73, 58.6
39.25, 100.0
42.88, 60.6
54.97, 26.6
55.59, 25.4
72.66, 22.7
76.11, 27.9

---

The following is a computed X-ray diffraction stick pattern of Pr5As2S2. It was derived from the PBE geometry in Alexandria, using Cu Kα, 1.54184 Å.
Peak positions follow from Bragg's law for the DFT cell and can differ from measured ones.

Lattice parameters (Å, degrees): 8.4008 8.4008 7.9438 90.00 90.00 55.67
Atoms (fractional coordinates):
Pr  0.0000  0.0000  0.0000
Pr  0.0215  0.6990  0.6528
Pr  0.1990  0.5215  0.1528
Pr  0.3010  0.9785  0.6528
Pr  0.4785  0.8010  0.1528
Pr  0.5000  0.5000  0.5000
Pr  0.5215  0.1990  0.8472
Pr  0.6990  0.0215  0.3472
Pr  0.8010  0.4785  0.8472
Pr  0.9785  0.3010  0.3472
As  0.1434  0.8566  0.3560
As  0.3566  0.6434  0.8560
As  0.6434  0.3566  0.1440
As  0.8566  0.1434  0.6440
S  0.1939  0.1939  0.0000
S  0.3061  0.3061  0.5000
S  0.6939  0.6939  0.5000
S  0.8061  0.8061  0.0000

Peak list (10 most intense, 10° ≤ 2θ ≤ 90°, in order of rising 2θ)
2θ/deg, I/Imax
24.00, 30.1
25.32, 28.3
31.03, 100.0
33.22, 19.3
35.14, 70.0
36.30, 72.2
36.68, 50.7
57.07, 19.1
66.85, 27.2
68.56, 22.6

---

The following is a computed X-ray diffraction stick pattern of PrAsS3. It was derived from the PBE geometry in Alexandria, using Cu Kα, 1.54184 Å.
Peak positions follow from Bragg's law for the DFT cell and can differ from measured ones.

Lattice parameters (Å, degrees): 7.9121 3.9929 13.5186 90.00 90.00 90.00
Atoms (fractional coordinates):
Pr  0.0946  0.2500  0.1634
Pr  0.4054  0.7500  0.6634
Pr  0.5946  0.2500  0.3366
Pr  0.9054  0.7500  0.8366
As  0.1519  0.7500  0.4332
As  0.3481  0.2500  0.9332
As  0.6519  0.7500  0.0668
As  0.8481  0.2500  0.5668
S  0.0211  0.7500  0.6298
S  0.1564  0.7500  0.0051
S  0.1872  0.2500  0.7871
S  0.3128  0.7500  0.2871
S  0.3436  0.2500  0.5051
S  0.4789  0.2500  0.1298
S  0.5211  0.7500  0.8702
S  0.6564  0.7500  0.4949
S  0.6872  0.2500  0.7129
S  0.8128  0.7500  0.2129
S  0.8436  0.2500  0.9949
S  0.9789  0.2500  0.3702

Peak list (10 most intense, 10° ≤ 2θ ≤ 90°, in order of rising 2θ)
2θ/deg, I/Imax
22.71, 49.4
23.43, 66.4
25.85, 53.7
28.30, 60.9
32.01, 58.3
32.54, 47.8
34.57, 100.0
40.28, 72.9
45.43, 44.0
45.89, 44.9